The following is a theoretical powder diffraction line list of CsCoP3HO10. It was derived from a DFT-relaxed cell (PBE+U, OQMD), using Cu Kα.
No peak broadening, texture or thermal motion is included.

Main lines, by angle (2θ from 10° to 90°):
2θ = 18.00°, d = 4.928 Å, I 77
2θ = 20.85°, d = 4.260 Å, I 74
2θ = 21.53°, d = 4.128 Å, I 78
2θ = 24.31°, d = 3.661 Å, I 80
2θ = 25.72°, d = 3.463 Å, I 100
2θ = 29.44°, d = 3.034 Å, I 96

Structural model:
```
CsCoP3HO10
1.0
4.5023 -4.3224 0.0000
4.5023 4.3224 0.0000
-2.5221 0.0000 5.7890
Cs Co P H O
1 1 3 1 10
Cartesian
0.0000 0.0000 0.0000
3.2413 1.4332 2.8945
4.5023 0.6082 0.0000
1.3686 -1.0275 3.4727
5.1139 -1.0275 2.3163
3.2413 -2.2060 2.8945
1.9616 2.8676 2.8210
3.5643 1.3956 0.8724
4.5210 2.8676 2.9680
1.9059 0.0737 2.5631
1.0463 -0.3761 4.9344
2.9183 1.3956 4.9166
4.5767 0.0737 3.2259
5.4362 -0.3761 0.8546
2.3745 -2.1546 3.7271
4.1081 -2.1546 2.0619
```